The following is a theoretical X-ray powder pattern of Nd2ZrSi2. It was derived from a structure optimized by DFT (PBE), using copper Kα.

Crystal structure
```
data_Nd2ZrSi2
_cell_length_a 7.403
_cell_length_b 7.403
_cell_length_c 4.342
_cell_angle_alpha 90.00
_cell_angle_beta 90.00
_cell_angle_gamma 90.00
_symmetry_space_group_name_H-M 'P 4/m b m'
_symmetry_Int_Tables_number 127
_symmetry_space_group_name_Hall '-P 4 2ab'
loop_
_atom_site_label
_atom_site_type_symbol
_atom_site_fract_x
_atom_site_fract_y
_atom_site_fract_z
Nd1 Nd 0.178 0.322 0.000
Zr1 Zr 0.000 0.000 0.500
Si1 Si 0.121 0.621 0.500
```

Top 8 peaks for 2θ = 10–90°, sorted by position:
- 26.67 deg, intensity 22, (1 1 1)
- 26.93 deg, intensity 42, (2 1 0)
- 31.77 deg, intensity 75, (2 0 1)
- 34.05 deg, intensity 100, (2 1 1)
- 38.46 deg, intensity 36, (3 1 0)
- 41.60 deg, intensity 23, (0 0 2)
- 55.37 deg, intensity 26, (4 1 1)
- 56.87 deg, intensity 23, (3 3 1)